No. 1
Simulated PXRD pattern of Cs2AgBiCl6 for λ = 1.5418 Å (Cu Kα), from the GGA-PBE geometry in the Materials Project.
No peak broadening, texture or thermal motion is included.

Atomic structure:
```
10
Lattice="0.0000 5.4791 5.4791 5.4791 0.0000 5.4791 5.4791 5.4791 0.0000" Properties=species:S:1:pos:R:3 pbc="T T T"
Cs 2.7395 2.7395 2.7395
Cs 8.2186 8.2186 8.2186
Ag 0.0000 0.0000 0.0000
Bi 5.4791 5.4791 5.4791
Cl 5.4791 5.4791 2.7493
Cl 5.4791 2.7493 5.4791
Cl 8.2089 5.4791 5.4791
Cl 2.7493 5.4791 5.4791
Cl 5.4791 8.2089 5.4791
Cl 5.4791 5.4791 8.2089
```

Principal peaks in the range 2θ = 5–70°, in order of rising 2θ:
| 2θ (°) | I_rel |
| --- | --- |
| 22.96 | 100 |
| 32.69 | 51 |
| 40.32 | 47 |
| 46.90 | 36 |
| 52.84 | 22 |
| 63.53 | 25 |



No. 2
Simulated PXRD pattern of K2AgBiCl6 for λ = 1.5418 Å (Cu Kα), from the GGA-PBE geometry in the Materials Project.
No peak broadening, texture or thermal motion is included.

Atomic structure:
```
10
Lattice="0.0000 5.4158 5.4158 5.4158 0.0000 5.4158 5.4158 5.4158 0.0000" Properties=species:S:1:pos:R:3 pbc="T T T"
K 2.7079 2.7079 2.7079
K 8.1237 8.1237 8.1237
Ag 0.0000 0.0000 0.0000
Bi 5.4158 5.4158 5.4158
Cl 5.4158 5.4158 2.7030
Cl 5.4158 2.7030 5.4158
Cl 8.1286 5.4158 5.4158
Cl 2.7030 5.4158 5.4158
Cl 5.4158 8.1286 5.4158
Cl 5.4158 5.4158 8.1286
```

Principal peaks in the range 2θ = 5–70°, in order of rising 2θ:
| 2θ (°) | I_rel |
| --- | --- |
| 16.37 | 100 |
| 23.23 | 99 |
| 33.08 | 72 |
| 37.12 | 53 |
| 40.81 | 46 |
| 47.48 | 49 |



No. 3
Simulated PXRD pattern of AgBi2Se3Cl for λ = 1.5418 Å (Cu Kα), from the GGA-PBE geometry in the Materials Project.
No peak broadening, texture or thermal motion is included.

Atomic structure:
```
14
Lattice="8.1501 0.0000 0.0000 0.0000 4.1493 0.0000 -2.7732 0.0000 10.9654" Properties=species:S:1:pos:R:3 pbc="T T T"
Ag -0.7612 1.0373 4.5281
Ag 6.1381 3.1120 6.4373
Bi -1.0343 1.0373 10.2444
Bi 1.9889 3.1120 7.1963
Bi 3.3880 1.0373 3.7691
Bi 6.4111 3.1120 0.7209
Se -0.0542 1.0373 1.6463
Se -0.1823 1.0373 7.2975
Se 1.3818 3.1120 4.5189
Se 3.9951 1.0373 6.4464
Se 5.5591 3.1120 3.6679
Se 5.4311 3.1120 9.3191
Cl 3.0158 3.1120 1.0739
Cl 2.3610 1.0373 9.8914
```

Principal peaks in the range 2θ = 5–70°, in order of rising 2θ:
| 2θ (°) | I_rel |
| --- | --- |
| 24.21 | 62 |
| 24.34 | 69 |
| 30.85 | 96 |
| 31.26 | 100 |
| 32.65 | 81 |
| 33.75 | 67 |